LiFeAs: calculated XRD peak list (Cu Kα), based on a structure optimized by DFT (GGA-PBE).
Kinematic intensities with the Lorentz-polarization factor, no thermal factor.

Structural model:
a b c (Å): 3.020 3.020 8.007
angles (deg): 90.00 90.00 90.00
Positions (direct):
Li (0.000, 0.000, 0.000)
Li (0.500, 0.500, 0.500)
Fe (0.000, 0.000, 0.678)
Fe (0.500, 0.500, 0.178)
As (0.000, 0.000, 0.324)
As (0.500, 0.500, 0.824)

Peak list (10 most intense, 2θ = 10–90°, by angle)
2theta	Rel. int.	(hkl)
22.2	55.0	0 0 2
31.7	47.2	1 0 1
42.3	62.6	1 1 0
45.3	100.0	1 0 3
48.3	26.3	1 1 2
61.4	19.8	2 0 0
66.0	15.0	1 0 5
66.1	9.9	2 0 2
79.5	36.4	2 1 3
85.9	13.0	1 1 6